CsBaIn4Sn6: calculated powder X-ray diffraction pattern (CuKα), based on a crystal structure in Alexandria, relaxed with GGA-PBE.

Structure:
```
data_CsBaIn4Sn6
_chemical_formula_sum 'Cs1 Ba1 In4 Sn6'
_cell_length_a 6.6137
_cell_length_b 6.6137
_cell_length_c 11.0660
_cell_angle_alpha 90.00
_cell_angle_beta 90.00
_cell_angle_gamma 120.00
_space_group_name_H-M_alt 'P 6/m m m'
_space_group_IT_number 191
_space_group_name_Hall '-P 6 2'
loop_
_atom_site_label
_atom_site_type_symbol
_atom_site_fract_x
_atom_site_fract_y
_atom_site_fract_z
_atom_site_occupancy
Cs1 Cs 0.0000 0.0000 0.0000 1
Ba1 Ba 0.0000 0.0000 0.5000 1
In1 In 0.3333 0.6667 0.3717 1
Sn1 Sn 0.0000 0.5000 0.1586 1
```

Top 10 peaks for 10 to 80 degrees two-theta, in order of rising 2θ:
index  2θ/deg  I/Imax
1 0 2  22.34  76
1 1 0  26.96  42
1 1 1  28.16  65
2 0 0  31.23  68
0 0 4  32.30  85
1 0 4  36.05  70
1 1 3  36.49  54
2 0 3  39.85  100
2 1 4  53.77  44
2 2 0  55.58  50